For Na3ZnGeP3O12, the PBE geometry in the Materials Project gives the theoretical XRD peak list in this record (copper Kα).

a = 15.1866 Å, b = 8.8389 Å, c = 8.7407 Å
α = 90.00°, β = 124.68°, γ = 90.00°
Space group Cc (No. 9)
Symmetry-distinct sites (fractional):
Na (0.0000, 0.0585, 0.0000) x4
Na (0.1770, 0.3913, 0.8200) x4
Na (0.4319, 0.2301, 0.0669) x4
Zn (0.0806, 0.2509, 0.4345) x4
Ge (0.2856, 0.2427, 0.2292) x4
P (0.0319, 0.3869, 0.0314) x4
P (0.1874, 0.0428, 0.8493) x4
P (0.3254, 0.4037, 0.6284) x4
O (0.0249, 0.4419, 0.5071) x4
O (0.0291, 0.3431, 0.1946) x4
O (0.1129, 0.1509, 0.6868) x4
O (0.1174, 0.0460, 0.3885) x4
O (0.1372, 0.3176, 0.0550) x4
O (0.2238, 0.3516, 0.6048) x4
O (0.2551, 0.0622, 0.3061) x4
O (0.2729, 0.1436, 0.0195) x4
O (0.3247, 0.3695, 0.4475) x4
O (0.3298, 0.4147, 0.1348) x4
O (0.4241, 0.3469, 0.8110) x4
O (0.4379, 0.1960, 0.3499) x4

Main lines, low angle first (2θ = 5–70°):
- 2θ 20.1, d 4.418, intensity 74, hkl 0 2 0
- 2θ 20.2, d 4.393, intensity 70, hkl 3 1 -1
- 2θ 23.7, d 3.762, intensity 55, hkl 2 2 -1
- 2θ 28.7, d 3.107, intensity 36, hkl 2 2 -2
- 2θ 32.2, d 2.780, intensity 100, hkl 5 1 -1
- 2θ 32.4, d 2.767, intensity 45, hkl 3 1 -3
- 2θ 35.2, d 2.551, intensity 100, hkl 2 0 2
- 2θ 55.0, d 1.670, intensity 37, hkl 1 5 1